Structure and simulated powder diffraction line list of MnCr2IO8 (a structure optimized by DFT (GGA+U); Cu Ka).
No peak broadening, texture or thermal motion is included.

Crystal structure
Cell: 4.593 4.593 6.240 Å, 90.58 90.58 87.74°
Atoms (fractional coordinates):
Mn (0.000, 0.000, 0.000)
Cr (0.499, 0.499, 0.244)
Cr (0.501, 0.501, 0.756)
I (0.000, 0.000, 0.500)
O (0.188, 0.188, 0.267)
O (0.193, 0.193, 0.728)
O (0.300, 0.700, 0.500)
O (0.303, 0.697, 0.000)
O (0.697, 0.303, 0.000)
O (0.700, 0.300, 0.500)
O (0.807, 0.807, 0.272)
O (0.812, 0.812, 0.733)

Largest 10 diffraction maxima, in order of rising 2θ, 10 to 90 degrees two-theta:
2θ 19.34, I = 27; 2θ 26.93, I = 100; 2θ 28.03, I = 87; 2θ 34.61, I = 64; 2θ 34.93, I = 61; 2θ 39.26, I = 27; 2θ 52.46, I = 31; 2θ 53.15, I = 30; 2θ 53.96, I = 28; 2θ 54.19, I = 27